Dy3HoIn2: simulated PXRD pattern (a wavelength of 1.5418 Å), based on a cell relaxed with PBE.

Principal peaks in the range 5 to 70 degrees two-theta, in order of rising 2θ:
(1 0 2), 2θ 31.8, intensity 33
(1 3 0), 2θ 32.4, intensity 100
(1 1 2), 2θ 33.1, intensity 61
(2 0 0), 2θ 34.7, intensity 41
(2 2 2), 2θ 48.2, intensity 17
(1 2 4), 2θ 61.0, intensity 17

Structure:
```
data_Dy3HoIn2
_chemical_formula_sum 'Dy6 Ho2 In4'
_space_group_name_H-M_alt 'P m c 21'
_space_group_IT_number 26
_cell_length_a 5.171
_cell_length_b 9.815
_cell_length_c 6.709
_cell_angle_alpha 90.00
_cell_angle_beta 90.00
_cell_angle_gamma 90.00
loop_
_space_group_symop_operation_xyz
'x,y,z'
'-x,-y,z+1/2'
'-x,y,z'
'x,-y,z+1/2'
loop_
_atom_site_label
_atom_site_type_symbol
_atom_site_fract_x
_atom_site_fract_y
_atom_site_fract_z
_atom_site_occupancy
Dy1 Dy 0.000 0.037 0.000 1
Dy2 Dy 0.000 0.319 0.352 1
Dy3 Dy 0.500 0.182 0.722 1
Ho1 Ho 0.500 0.463 0.073 1
In1 In 0.000 0.359 0.828 1
In2 In 0.500 0.142 0.246 1
```